Record 1
Structure and theoretical powder X-ray diffraction pattern of Li7MnCo3P6O24 (a DFT-relaxed cell (GGA+U, the Materials Project); copper Kα).
Intensities are scaled so that the largest is 100.

Structure:
Lattice parameters (Å, degrees): 8.6895 8.6895 8.6895 61.33 61.33 61.33
Element x y z (fractional)
1 Li 0.0000 0.0000 0.0000
2 Li 0.1759 0.7363 0.3583
3 Li 0.2124 0.6296 0.8058
4 Li 0.3583 0.1759 0.7363
5 Li 0.6296 0.8058 0.2124
6 Li 0.7363 0.3583 0.1759
7 Li 0.8058 0.2124 0.6296
8 Mn 0.6266 0.6266 0.6266
9 Co 0.1327 0.1327 0.1327
10 Co 0.3379 0.3379 0.3379
11 Co 0.8348 0.8348 0.8348
12 P 0.0288 0.4342 0.7326
13 P 0.2277 0.9474 0.5267
14 P 0.4342 0.7326 0.0288
15 P 0.5267 0.2277 0.9474
16 P 0.7326 0.0288 0.4342
17 P 0.9474 0.5267 0.2277
18 O 0.0075 0.6056 0.7676
19 O 0.0487 0.2530 0.9036
20 O 0.0508 0.9449 0.7023
21 O 0.1062 0.4887 0.2852
22 O 0.1896 0.9665 0.3585
23 O 0.2184 0.4044 0.5754
24 O 0.2530 0.9036 0.0487
25 O 0.2852 0.1062 0.4887
26 O 0.3585 0.1896 0.9665
27 O 0.3753 0.7552 0.5627
28 O 0.4044 0.5754 0.2184
29 O 0.4614 0.6889 0.8671
30 O 0.4887 0.2852 0.1062
31 O 0.5627 0.3753 0.7552
32 O 0.5754 0.2184 0.4044
33 O 0.6056 0.7676 0.0075
34 O 0.6889 0.8671 0.4614
35 O 0.7023 0.0508 0.9449
36 O 0.7552 0.5627 0.3753
37 O 0.7676 0.0075 0.6056
38 O 0.8671 0.4614 0.6889
39 O 0.9036 0.0487 0.2530
40 O 0.9449 0.7023 0.0508
41 O 0.9665 0.3585 0.1896

Main lines, sorted by position (2θ from 10° to 90°):
2θ 14.3, I = 29
2θ 20.0, I = 28
2θ 20.4, I = 65
2θ 23.7, I = 100
2θ 28.8, I = 37
2θ 31.1, I = 21
2θ 32.5, I = 48
2θ 35.1, I = 26
2θ 48.6, I = 18
2θ 54.8, I = 17



Record 2
Structure and theoretical powder X-ray diffraction pattern of Li6MnCo3P6O24 (a DFT-relaxed cell (GGA+U, the Materials Project); copper Kα).
Intensities are scaled so that the largest is 100.

Structure:
Lattice parameters (Å, degrees): 8.4412 8.4725 8.6344 62.56 61.76 62.44
Element x y z (fractional)
1 Li 0.0000 0.0000 0.0000
2 Li 0.0890 0.9056 0.5023
3 Li 0.1821 0.4196 0.3749
4 Li 0.3647 0.7614 0.1391
5 Li 0.5859 0.6075 0.8005
6 Li 0.8168 0.2664 0.6309
7 Mn 0.9868 0.4012 0.7939
8 Co 0.1927 0.6093 0.9941
9 Co 0.4871 0.9063 0.2806
10 Co 0.6956 0.1209 0.4956
11 P 0.0924 0.2060 0.1962
12 P 0.2972 0.0088 0.6846
13 P 0.3886 0.5114 0.5949
14 P 0.5915 0.3041 0.1040
15 P 0.7925 0.8089 0.8902
16 P 0.8827 0.7207 0.3892
17 O 0.0356 0.2272 0.0428
18 O 0.0735 0.7011 0.2230
19 O 0.1035 0.1705 0.7180
20 O 0.1527 0.3709 0.1606
21 O 0.2194 0.4560 0.6307
22 O 0.2514 0.0131 0.2228
23 O 0.2820 0.8470 0.8731
24 O 0.3097 0.9627 0.5262
25 O 0.3586 0.5664 0.7590
26 O 0.3885 0.6795 0.4153
27 O 0.4317 0.4985 0.0807
28 O 0.4691 0.0590 0.6416
29 O 0.5352 0.1444 0.1304
30 O 0.5772 0.3517 0.5755
31 O 0.6013 0.8292 0.0477
32 O 0.6484 0.2706 0.2627
33 O 0.7102 0.7730 0.3365
34 O 0.7551 0.3251 0.9094
35 O 0.8000 0.9883 0.7210
36 O 0.8237 0.6432 0.8344
37 O 0.8666 0.8757 0.4473
38 O 0.8985 0.5262 0.5402
39 O 0.9342 0.1890 0.3893
40 O 0.9563 0.7709 0.9528

Main lines, sorted by position (2θ from 10° to 90°):
2θ 20.0, I = 25
2θ 20.3, I = 40
2θ 20.6, I = 42
2θ 21.0, I = 76
2θ 23.6, I = 34
2θ 23.9, I = 34
2θ 24.1, I = 100
2θ 24.4, I = 29
2θ 33.3, I = 29
2θ 35.2, I = 44



What did the first record say?
Structure and theoretical powder X-ray diffraction pattern of Li7MnCo3P6O24 (a DFT-relaxed cell (GGA+U, the Materials Project); copper Kα).
Intensities are scaled so that the largest is 100.

Structure:
Lattice parameters (Å, degrees): 8.6895 8.6895 8.6895 61.33 61.33 61.33
Element x y z (fractional)
1 Li 0.0000 0.0000 0.0000
2 Li 0.1759 0.7363 0.3583
3 Li 0.2124 0.6296 0.8058
4 Li 0.3583 0.1759 0.7363
5 Li 0.6296 0.8058 0.2124
6 Li 0.7363 0.3583 0.1759
7 Li 0.8058 0.2124 0.6296
8 Mn 0.6266 0.6266 0.6266
9 Co 0.1327 0.1327 0.1327
10 Co 0.3379 0.3379 0.3379
11 Co 0.8348 0.8348 0.8348
12 P 0.0288 0.4342 0.7326
13 P 0.2277 0.9474 0.5267
14 P 0.4342 0.7326 0.0288
15 P 0.5267 0.2277 0.9474
16 P 0.7326 0.0288 0.4342
17 P 0.9474 0.5267 0.2277
18 O 0.0075 0.6056 0.7676
19 O 0.0487 0.2530 0.9036
20 O 0.0508 0.9449 0.7023
21 O 0.1062 0.4887 0.2852
22 O 0.1896 0.9665 0.3585
23 O 0.2184 0.4044 0.5754
24 O 0.2530 0.9036 0.0487
25 O 0.2852 0.1062 0.4887
26 O 0.3585 0.1896 0.9665
27 O 0.3753 0.7552 0.5627
28 O 0.4044 0.5754 0.2184
29 O 0.4614 0.6889 0.8671
30 O 0.4887 0.2852 0.1062
31 O 0.5627 0.3753 0.7552
32 O 0.5754 0.2184 0.4044
33 O 0.6056 0.7676 0.0075
34 O 0.6889 0.8671 0.4614
35 O 0.7023 0.0508 0.9449
36 O 0.7552 0.5627 0.3753
37 O 0.7676 0.0075 0.6056
38 O 0.8671 0.4614 0.6889
39 O 0.9036 0.0487 0.2530
40 O 0.9449 0.7023 0.0508
41 O 0.9665 0.3585 0.1896

Main lines, sorted by position (2θ from 10° to 90°):
2θ 14.3, I = 29
2θ 20.0, I = 28
2θ 20.4, I = 65
2θ 23.7, I = 100
2θ 28.8, I = 37
2θ 31.1, I = 21
2θ 32.5, I = 48
2θ 35.1, I = 26
2θ 48.6, I = 18
2θ 54.8, I = 17